Computed powder diffractogram of Rb3Pb2Br5Cl2 for Cu Kα (λ = 1.5418 Å), from a cell relaxed with PBE.
Intensities are scaled so that the largest is 100.

Largest 8 diffraction maxima, in order of rising 2θ, 10 to 90 degrees two-theta:
2θ = 12.5°, intensity 64
2θ = 15.1°, intensity 50
2θ = 21.0°, intensity 43
2θ = 21.6°, intensity 73
2θ = 29.8°, intensity 100
2θ = 32.1°, intensity 38
2θ = 37.1°, intensity 38
2θ = 43.9°, intensity 50

Structural model:
a b c (Å): 14.8121 14.8121 14.8121
angles (deg): 156.67 156.67 33.23
Positions (direct):
Rb 0.0000 0.0000 0.0000
Rb 0.1820 0.1820 0.0000
Rb 0.8180 0.8180 0.0000
Pb 0.3919 0.3919 0.0000
Pb 0.6081 0.6081 0.0000
Br 0.1037 0.6037 0.5000
Br 0.3963 0.8963 0.5000
Br 0.5000 0.5000 0.0000
Br 0.6037 0.1037 0.5000
Br 0.8963 0.3963 0.5000
Cl 0.2940 0.2940 0.0000
Cl 0.7060 0.7060 0.0000

***

Computed powder diffractogram of LiSbP2O7 for Cu Kα (λ = 1.5418 Å), from a cell relaxed with PBE.
Intensities are scaled so that the largest is 100.

Largest 8 diffraction maxima, in order of rising 2θ, 10 to 90 degrees two-theta:
2θ = 13.3°, intensity 54
2θ = 22.5°, intensity 100
2θ = 22.8°, intensity 74
2θ = 27.1°, intensity 21
2θ = 30.7°, intensity 26
2θ = 32.2°, intensity 31
2θ = 42.7°, intensity 26
2θ = 45.5°, intensity 20

Structural model:
a b c (Å): 8.3585 5.0471 14.3213
angles (deg): 90.00 111.33 90.00
Positions (direct):
Li 0.0829 0.2368 0.2029
Li 0.0829 0.2632 0.7029
Li 0.9171 0.7368 0.2971
Li 0.9171 0.7632 0.7971
Sb 0.2485 0.2440 0.9650
Sb 0.2485 0.2560 0.4650
Sb 0.7515 0.7440 0.5350
Sb 0.7515 0.7560 0.0350
P 0.1858 0.7359 0.1067
P 0.1858 0.7641 0.6067
P 0.2979 0.7392 0.8246
P 0.2979 0.7608 0.3246
P 0.7021 0.2392 0.6754
P 0.7021 0.2608 0.1754
P 0.8142 0.2359 0.3933
P 0.8142 0.2641 0.8933
O 0.0185 0.6222 0.6021
O 0.0185 0.8778 0.1021
O 0.1419 0.5643 0.8186
O 0.1419 0.9357 0.3186
O 0.1618 0.0644 0.5939
O 0.1618 0.4356 0.0939
O 0.2513 0.0363 0.8282
O 0.2513 0.4637 0.3282
O 0.2640 0.6405 0.5349
O 0.2640 0.8595 0.0349
O 0.3225 0.7007 0.7170
O 0.3225 0.7993 0.2170
O 0.4640 0.6542 0.9038
O 0.4640 0.8458 0.4038
O 0.5360 0.1542 0.5962
O 0.5360 0.3458 0.0962
O 0.6775 0.2007 0.7830
O 0.6775 0.2993 0.2830
O 0.7360 0.1405 0.9651
O 0.7360 0.3595 0.4651
O 0.7487 0.5363 0.6718
O 0.7487 0.9637 0.1718
O 0.8382 0.5644 0.9061
O 0.8382 0.9356 0.4061
O 0.8581 0.0643 0.6814
O 0.8581 0.4357 0.1814
O 0.9815 0.1222 0.8979
O 0.9815 0.3778 0.3979